(1)
This entry pairs a crystal structure of K3Sn2Bi2 with its simulated powder diffractogram. Radiation: Cu Kα (λ = 1.5418 Å). Structure: the GGA-PBE geometry in Alexandria.

Main lines, low angle first (2θ from 15° to 90°):
(1 1 1), 16.71 deg, d = 5.304 Å, I = 100; (1 0 2), 17.35 deg, d = 5.112 Å, I = 53; (1 1 2), 19.29 deg, d = 4.601 Å, I = 29; (0 0 4), 22.21 deg, d = 4.003 Å, I = 28; (1 1 4), 27.32 deg, d = 3.264 Å, I = 25; (1 3 0), 28.69 deg, d = 3.112 Å, I = 73; (1 1 5), 32.17 deg, d = 2.783 Å, I = 50; (2 1 3), 32.88 deg, d = 2.724 Å, I = 42; (1 3 4), 36.59 deg, d = 2.456 Å, I = 38; (2 3 0), 37.27 deg, d = 2.413 Å, I = 24; (0 2 6), 37.77 deg, d = 2.382 Å, I = 29; (2 3 2), 38.94 deg, d = 2.313 Å, I = 31

Structure:
```
data_K3Sn2Bi2
_chemical_formula_sum 'K12 Sn8 Bi8'
_space_group_name_H-M_alt 'P b c m'
_space_group_IT_number 57
_cell_length_a 6.642
_cell_length_b 10.566
_cell_length_c 16.011
_cell_angle_alpha 90.00
_cell_angle_beta 90.00
_cell_angle_gamma 90.00
loop_
_space_group_symop_operation_xyz
'x,y,z'
'-x,-y,-z'
'-x,-y,z+1/2'
'x,y,-z+1/2'
'x,-y+1/2,-z'
'-x,y+1/2,z'
'-x,y+1/2,-z+1/2'
'x,-y+1/2,z+1/2'
loop_
_atom_site_label
_atom_site_type_symbol
_atom_site_fract_x
_atom_site_fract_y
_atom_site_fract_z
K1 K 0.127 0.140 0.117
K2 K 0.330 0.724 0.750
Sn1 Sn 0.338 0.041 0.568
Bi1 Bi 0.207 0.064 0.750
Bi2 Bi 0.372 0.750 0.000
```



(2)
This entry pairs a crystal structure of K2SnBi3 with its simulated powder diffractogram. Radiation: Cu Kα (λ = 1.5418 Å). Structure: the GGA-PBE geometry in Alexandria.

Main lines, low angle first (2θ from 15° to 90°):
(2 0 0), 17.50 deg, d = 5.068 Å, I = 100; (0 2 2), 19.08 deg, d = 4.650 Å, I = 29; (2 2 2), 26.01 deg, d = 3.426 Å, I = 74; (2 0 4), 26.39 deg, d = 3.377 Å, I = 40; (0 4 0), 33.06 deg, d = 2.710 Å, I = 34; (0 2 6), 33.99 deg, d = 2.637 Å, I = 63; (4 0 0), 35.43 deg, d = 2.534 Å, I = 29; (2 4 0), 37.64 deg, d = 2.390 Å, I = 31; (2 2 6), 38.48 deg, d = 2.340 Å, I = 59; (2 4 4), 42.79 deg, d = 2.113 Å, I = 22; (4 4 0), 49.23 deg, d = 1.851 Å, I = 22; (4 2 6), 49.91 deg, d = 1.827 Å, I = 45

Structure:
```
data_K2SnBi3
_chemical_formula_sum 'K16 Sn8 Bi24'
_space_group_name_H-M_alt 'F m m m'
_space_group_IT_number 69
_space_group_name_Hall '-F 2 2'
_cell_length_a 10.135
_cell_length_b 10.839
_cell_length_c 18.114
_cell_angle_alpha 90.00
_cell_angle_beta 90.00
_cell_angle_gamma 90.00
loop_
_atom_site_label
_atom_site_type_symbol
_atom_site_fract_x
_atom_site_fract_y
_atom_site_fract_z
K1 K 0.243 0.000 0.000
K2 K 0.250 0.250 0.250
Sn1 Sn 0.000 0.000 0.334
Bi1 Bi 0.000 0.000 0.168
Bi2 Bi 0.000 0.243 0.414
```



(3)
This entry pairs a crystal structure of K3BiTe2 with its simulated powder diffractogram. Radiation: Cu Kα (λ = 1.5418 Å). Structure: the GGA-PBE geometry in Alexandria.

Main lines, low angle first (2θ from 15° to 90°):
(1 3 0), 18.53 deg, d = 4.789 Å, I = 28; (1 2 1), 20.27 deg, d = 4.381 Å, I = 68; (2 2 0), 26.34 deg, d = 3.383 Å, I = 69; (0 6 0), 27.91 deg, d = 3.197 Å, I = 32; (0 2 2), 28.11 deg, d = 3.175 Å, I = 46; (2 4 0), 30.98 deg, d = 2.886 Å, I = 92; (0 4 2), 32.51 deg, d = 2.754 Å, I = 100; (1 6 1), 33.42 deg, d = 2.682 Å, I = 46; (2 0 2), 36.49 deg, d = 2.463 Å, I = 76; (2 2 2), 37.69 deg, d = 2.387 Å, I = 30; (2 6 2), 46.56 deg, d = 1.950 Å, I = 39; (2 8 2), 53.33 deg, d = 1.718 Å, I = 27

Structure:
```
data_K3BiTe2
_chemical_formula_sum 'K12 Bi4 Te8'
_space_group_name_H-M_alt 'I b a m'
_space_group_IT_number 72
_space_group_name_Hall '-I 2 2c'
_cell_length_a 7.228
_cell_length_b 19.182
_cell_length_c 6.729
_cell_angle_alpha 90.00
_cell_angle_beta 90.00
_cell_angle_gamma 90.00
loop_
_atom_site_label
_atom_site_type_symbol
_atom_site_fract_x
_atom_site_fract_y
_atom_site_fract_z
K1 K 0.000 0.000 0.250
K2 K 0.238 0.320 0.000
Bi1 Bi 0.000 0.500 0.250
Te1 Te 0.247 0.369 0.500
```



(4)
This entry pairs a crystal structure of K5Bi2Te5 with its simulated powder diffractogram. Radiation: Cu Kα (λ = 1.5418 Å). Structure: the GGA-PBE geometry in Alexandria.

Main lines, low angle first (2θ from 15° to 90°):
(2 0 -2), 15.06 deg, d = 5.883 Å, I = 57; (2 0 1), 15.73 deg, d = 5.633 Å, I = 40; (1 1 0), 18.11 deg, d = 4.898 Å, I = 91; (3 1 0), 25.18 deg, d = 3.536 Å, I = 56; (3 1 -2), 25.68 deg, d = 3.469 Å, I = 100; (2 0 3), 26.86 deg, d = 3.319 Å, I = 46; (3 1 1), 27.58 deg, d = 3.234 Å, I = 49; (0 0 5), 33.99 deg, d = 2.637 Å, I = 39; (0 2 0), 34.45 deg, d = 2.604 Å, I = 68; (5 1 1), 38.06 deg, d = 2.365 Å, I = 74; (5 1 -4), 38.44 deg, d = 2.342 Å, I = 47; (0 2 5), 49.21 deg, d = 1.852 Å, I = 44

Structure:
```
data_K5Bi2Te5
_chemical_formula_sum 'K10 Bi4 Te10'
_space_group_name_H-M_alt 'C 1 2/m 1'
_space_group_IT_number 12
_cell_length_a 15.236
_cell_length_b 5.206
_cell_length_c 13.897
_cell_angle_alpha 90.00
_cell_angle_beta 108.40
_cell_angle_gamma 90.00
loop_
_space_group_symop_operation_xyz
'x,y,z'
'-x,-y,-z'
'-x,y,-z'
'x,-y,z'
'x+1/2,y+1/2,z'
'-x+1/2,-y+1/2,-z'
'-x+1/2,y+1/2,-z'
'x+1/2,-y+1/2,z'
loop_
_atom_site_label
_atom_site_type_symbol
_atom_site_fract_x
_atom_site_fract_y
_atom_site_fract_z
K1 K 0.000 0.000 0.000
K2 K 0.158 0.000 0.550
K3 K 0.247 0.000 0.854
Bi1 Bi 0.048 0.500 0.292
Te1 Te 0.000 0.500 0.500
Te2 Te 0.108 0.500 0.896
Te3 Te 0.160 0.000 0.291
```



(5)
This entry pairs a crystal structure of K3Y2BiTe6 with its simulated powder diffractogram. Radiation: Cu Kα (λ = 1.5418 Å). Structure: the GGA-PBE geometry in Alexandria.

Main lines, low angle first (2θ from 15° to 90°):
(1 3 1), 26.87 deg, d = 3.318 Å, I = 100; (1 3 2), 34.12 deg, d = 2.628 Å, I = 17; (2 0 2), 36.99 deg, d = 2.430 Å, I = 34; (0 6 0), 39.71 deg, d = 2.270 Å, I = 37; (3 3 0), 41.25 deg, d = 2.188 Å, I = 9; (2 0 3), 46.52 deg, d = 1.952 Å, I = 12; (4 0 0), 48.60 deg, d = 1.873 Å, I = 19; (2 6 2), 55.38 deg, d = 1.659 Å, I = 11; (3 3 3), 60.69 deg, d = 1.526 Å, I = 11; (4 6 0), 64.50 deg, d = 1.445 Å, I = 16; (5 3 1), 70.29 deg, d = 1.339 Å, I = 10; (0 6 5), 70.60 deg, d = 1.334 Å, I = 8

Structure:
```
data_K3Y2BiTe6
_chemical_formula_sum 'K6 Y4 Bi2 Te12'
_space_group_name_H-M_alt 'C 1 2/m 1'
_space_group_IT_number 12
_cell_length_a 7.862
_cell_length_b 13.619
_cell_length_c 8.652
_cell_angle_alpha 90.00
_cell_angle_beta 107.63
_cell_angle_gamma 90.00
loop_
_space_group_symop_operation_xyz
'x,y,z'
'-x,-y,-z'
'-x,y,-z'
'x,-y,z'
'x+1/2,y+1/2,z'
'-x+1/2,-y+1/2,-z'
'-x+1/2,y+1/2,-z'
'x+1/2,-y+1/2,z'
loop_
_atom_site_label
_atom_site_type_symbol
_atom_site_fract_x
_atom_site_fract_y
_atom_site_fract_z
K1 K 0.000 0.000 0.000
K2 K 0.000 0.335 0.000
Y1 Y 0.000 0.167 0.500
Bi1 Bi 0.000 0.500 0.500
Te1 Te 0.231 0.000 0.709
Te2 Te 0.239 0.331 0.709
```



(6)
This entry pairs a crystal structure of KThBi2 with its simulated powder diffractogram. Radiation: Cu Kα (λ = 1.5418 Å). Structure: the GGA-PBE geometry in Alexandria.

Main lines, low angle first (2θ from 15° to 90°):
(0 1 2), 23.14 deg, d = 3.845 Å, I = 44; (0 1 5), 27.97 deg, d = 3.190 Å, I = 100; (1 0 7), 32.69 deg, d = 2.739 Å, I = 29; (1 1 0), 38.78 deg, d = 2.322 Å, I = 45; (1 1 3), 40.19 deg, d = 2.244 Å, I = 14; (1 0 10), 41.13 deg, d = 2.195 Å, I = 32; (2 0 5), 48.49 deg, d = 1.877 Å, I = 23; (0 2 10), 57.81 deg, d = 1.595 Å, I = 12; (1 1 12), 58.00 deg, d = 1.590 Å, I = 15; (1 2 5), 63.75 deg, d = 1.460 Å, I = 20; (1 1 15), 67.07 deg, d = 1.395 Å, I = 14; (2 1 10), 71.80 deg, d = 1.315 Å, I = 13

Structure:
```
data_KThBi2
_chemical_formula_sum 'K3 Th3 Bi6'
_space_group_name_H-M_alt 'R 3 m'
_space_group_IT_number 160
_space_group_name_Hall 'R 3 -2"'
_cell_length_a 4.6439
_cell_length_b 4.6439
_cell_length_c 26.1893
_cell_angle_alpha 90.00
_cell_angle_beta 90.00
_cell_angle_gamma 120.00
loop_
_atom_site_label
_atom_site_type_symbol
_atom_site_fract_x
_atom_site_fract_y
_atom_site_fract_z
K1 K 0.0000 0.0000 0.0000
Th1 Th 0.0000 0.0000 0.1700
Bi1 Bi 0.0000 0.0000 0.5731
Bi2 Bi 0.0000 0.0000 0.7654
```



(7)
This entry pairs a crystal structure of K3Tl8Bi3 with its simulated powder diffractogram. Radiation: Cu Kα (λ = 1.5418 Å). Structure: the GGA-PBE geometry in Alexandria.

Main lines, low angle first (2θ from 15° to 90°):
(1 1 0), 18.07 deg, d = 4.910 Å, I = 36; (0 1 3), 19.58 deg, d = 4.535 Å, I = 34; (1 2 3), 28.58 deg, d = 3.123 Å, I = 100; (1 3 2), 29.63 deg, d = 3.015 Å, I = 49; (1 1 4), 30.56 deg, d = 2.925 Å, I = 27; (1 4 1), 33.45 deg, d = 2.679 Å, I = 65; (2 0 0), 33.67 deg, d = 2.662 Å, I = 61; (0 5 1), 35.92 deg, d = 2.500 Å, I = 28; (1 3 4), 36.67 deg, d = 2.451 Å, I = 86; (1 4 3), 37.88 deg, d = 2.375 Å, I = 30; (0 0 8), 50.06 deg, d = 1.822 Å, I = 32; (1 4 7), 55.56 deg, d = 1.654 Å, I = 37

Structure:
```
data_K3Tl8Bi3
_chemical_formula_sum 'K6 Tl16 Bi6'
_space_group_name_H-M_alt 'I m m m'
_space_group_IT_number 71
_space_group_name_Hall '-I 2 2'
_cell_length_a 5.324
_cell_length_b 12.690
_cell_length_c 14.566
_cell_angle_alpha 90.00
_cell_angle_beta 90.00
_cell_angle_gamma 90.00
loop_
_atom_site_label
_atom_site_type_symbol
_atom_site_fract_x
_atom_site_fract_y
_atom_site_fract_z
K1 K 0.000 0.000 0.000
K2 K 0.000 0.000 0.298
Tl1 Tl 0.000 0.281 0.145
Tl2 Tl 0.000 0.372 0.357
Bi1 Bi 0.000 0.176 0.500
Bi2 Bi 0.000 0.500 0.000
```



(8)
This entry pairs a crystal structure of K3Tl3Bi2 with its simulated powder diffractogram. Radiation: Cu Kα (λ = 1.5418 Å). Structure: the GGA-PBE geometry in Alexandria.

Main lines, low angle first (2θ from 15° to 90°):
(1 1 0), 18.24 deg, d = 4.864 Å, I = 24; (1 1 1), 18.87 deg, d = 4.704 Å, I = 70; (0 2 3), 19.87 deg, d = 4.468 Å, I = 64; (1 1 4), 26.62 deg, d = 3.348 Å, I = 100; (1 3 3), 30.44 deg, d = 2.937 Å, I = 87; (1 3 4), 33.11 deg, d = 2.706 Å, I = 95; (0 4 4), 33.75 deg, d = 2.656 Å, I = 48; (2 0 0), 34.18 deg, d = 2.623 Å, I = 55; (1 1 7), 38.81 deg, d = 2.320 Å, I = 66; (2 4 4), 48.80 deg, d = 1.866 Å, I = 38; (1 7 0), 52.32 deg, d = 1.748 Å, I = 34; (3 3 4), 60.51 deg, d = 1.530 Å, I = 24

Structure:
```
data_K3Tl3Bi2
_chemical_formula_sum 'K12 Tl12 Bi8'
_space_group_name_H-M_alt 'C m c m'
_space_group_IT_number 63
_space_group_name_Hall '-C 2c 2'
_cell_length_a 5.246
_cell_length_b 12.981
_cell_length_c 18.478
_cell_angle_alpha 90.00
_cell_angle_beta 90.00
_cell_angle_gamma 90.00
loop_
_atom_site_label
_atom_site_type_symbol
_atom_site_fract_x
_atom_site_fract_y
_atom_site_fract_z
K1 K 0.000 0.075 0.105
K2 K 0.000 0.359 0.250
Tl1 Tl 0.000 0.363 0.750
Tl2 Tl 0.000 0.364 0.028
Bi1 Bi 0.000 0.212 0.617
```



(9)
This entry pairs a crystal structure of K6TlBi2 with its simulated powder diffractogram. Radiation: Cu Kα (λ = 1.5418 Å). Structure: the GGA-PBE geometry in Alexandria.

Main lines, low angle first (2θ from 15° to 90°):
(1 0 1), 16.87 deg, d = 5.255 Å, I = 100; (0 1 2), 17.36 deg, d = 5.109 Å, I = 31; (1 0 10), 29.01 deg, d = 3.078 Å, I = 65; (1 1 0), 29.15 deg, d = 3.064 Å, I = 90; (0 1 11), 31.01 deg, d = 2.884 Å, I = 42; (0 2 1), 33.87 deg, d = 2.647 Å, I = 19; (1 1 12), 41.10 deg, d = 2.196 Å, I = 25; (0 2 10), 41.59 deg, d = 2.172 Å, I = 24; (2 0 11), 43.07 deg, d = 2.100 Å, I = 18; (3 0 0), 51.62 deg, d = 1.771 Å, I = 44; (1 2 11), 52.85 deg, d = 1.732 Å, I = 21; (1 1 21), 59.58 deg, d = 1.552 Å, I = 18

Structure:
```
data_K6TlBi2
_chemical_formula_sum 'K18 Tl3 Bi6'
_space_group_name_H-M_alt 'R -3 m'
_space_group_IT_number 166
_space_group_name_Hall '-R 3 2"'
_cell_length_a 6.1276
_cell_length_b 6.1276
_cell_length_c 37.7932
_cell_angle_alpha 90.00
_cell_angle_beta 90.00
_cell_angle_gamma 120.00
loop_
_atom_site_label
_atom_site_type_symbol
_atom_site_fract_x
_atom_site_fract_y
_atom_site_fract_z
K1 K 0.0000 0.0000 0.0788
K2 K 0.0000 0.0000 0.2069
K3 K 0.0000 0.0000 0.3090
Tl1 Tl 0.0000 0.0000 0.5000
Bi1 Bi 0.0000 0.0000 0.4080
```



(10)
This entry pairs a crystal structure of KZnBi2 with its simulated powder diffractogram. Radiation: Cu Kα (λ = 1.5418 Å). Structure: the GGA-PBE geometry in Alexandria.

Main lines, low angle first (2θ from 15° to 90°):
(1 0 1), 15.91 deg, d = 5.570 Å, I = 76; (0 0 4), 19.17 deg, d = 4.631 Å, I = 38; (1 0 3), 20.94 deg, d = 4.243 Å, I = 23; (1 1 2), 23.59 deg, d = 3.771 Å, I = 100; (2 0 2), 32.14 deg, d = 2.785 Å, I = 23; (2 1 1), 34.69 deg, d = 2.586 Å, I = 48; (2 0 4), 36.35 deg, d = 2.471 Å, I = 67; (2 1 3), 37.37 deg, d = 2.406 Å, I = 58; (2 1 5), 42.34 deg, d = 2.135 Å, I = 34; (2 1 7), 49.02 deg, d = 1.858 Å, I = 22; (3 1 4), 53.41 deg, d = 1.715 Å, I = 22; (4 0 2), 64.59 deg, d = 1.443 Å, I = 24

Structure:
```
data_KZnBi2
_chemical_formula_sum 'K4 Zn4 Bi8'
_space_group_name_H-M_alt 'I -4 2 d'
_space_group_IT_number 122
_space_group_name_Hall 'I -4 2bw'
_cell_length_a 5.840
_cell_length_b 5.840
_cell_length_c 18.524
_cell_angle_alpha 90.00
_cell_angle_beta 90.00
_cell_angle_gamma 90.00
loop_
_atom_site_label
_atom_site_type_symbol
_atom_site_fract_x
_atom_site_fract_y
_atom_site_fract_z
K1 K 0.000 0.000 0.000
Zn1 Zn 0.000 0.000 0.500
Bi1 Bi 0.121 0.250 0.625
```



(11)
This entry pairs a crystal structure of La4Bi3 with its simulated powder diffractogram. Radiation: Cu Kα (λ = 1.5418 Å). Structure: the GGA-PBE geometry in Alexandria.

Main lines, low angle first (2θ from 15° to 90°):
(2 1 1), 22.04 deg, d = 4.034 Å, I = 15; (3 1 0), 28.57 deg, d = 3.125 Å, I = 100; (3 2 1), 33.95 deg, d = 2.641 Å, I = 65; (4 2 0), 40.84 deg, d = 2.209 Å, I = 21; (3 3 2), 42.93 deg, d = 2.107 Å, I = 15; (4 2 2), 44.94 deg, d = 2.017 Å, I = 12; (4 3 1), 46.89 deg, d = 1.938 Å, I = 20; (6 1 1), 57.50 deg, d = 1.603 Å, I = 32; (6 2 0), 59.14 deg, d = 1.562 Å, I = 11; (5 4 1), 60.75 deg, d = 1.525 Å, I = 15; (7 2 1), 69.97 deg, d = 1.345 Å, I = 21; (7 5 0), 84.32 deg, d = 1.149 Å, I = 11

Structure:
```
data_La4Bi3
_chemical_formula_sum 'La16 Bi12'
_space_group_name_H-M_alt 'I -4 3 d'
_space_group_IT_number 220
_space_group_name_Hall 'I -4bd 2c 3'
_cell_length_a 9.881
_cell_length_b 9.881
_cell_length_c 9.881
_cell_angle_alpha 90.00
_cell_angle_beta 90.00
_cell_angle_gamma 90.00
loop_
_atom_site_label
_atom_site_type_symbol
_atom_site_fract_x
_atom_site_fract_y
_atom_site_fract_z
La1 La 0.071 0.429 0.571
Bi1 Bi 0.000 0.250 0.875
```



(12)
This entry pairs a crystal structure of La3Bi2 with its simulated powder diffractogram. Radiation: Cu Kα (λ = 1.5418 Å). Structure: the GGA-PBE geometry in Alexandria.

Main lines, low angle first (2θ from 15° to 90°):
(1 1 2), 22.20 deg, d = 4.003 Å, I = 27; (2 0 0), 27.64 deg, d = 3.227 Å, I = 68; (2 0 2), 29.68 deg, d = 3.010 Å, I = 28; (1 0 5), 30.16 deg, d = 2.963 Å, I = 100; (2 1 1), 31.45 deg, d = 2.844 Å, I = 70; (2 1 3), 35.03 deg, d = 2.562 Å, I = 39; (2 1 5), 41.37 deg, d = 2.183 Å, I = 20; (2 2 4), 45.30 deg, d = 2.002 Å, I = 32; (3 0 5), 50.48 deg, d = 1.808 Å, I = 24; (4 0 0), 57.08 deg, d = 1.614 Å, I = 21; (4 1 5), 65.91 deg, d = 1.417 Å, I = 22; (5 0 5), 79.64 deg, d = 1.204 Å, I = 20

Structure:
```
data_La3Bi2
_chemical_formula_sum 'La12 Bi8'
_space_group_name_H-M_alt 'I 41/a m d'
_space_group_IT_number 141
_cell_length_a 6.454
_cell_length_b 6.454
_cell_length_c 16.676
_cell_angle_alpha 90.00
_cell_angle_beta 90.00
_cell_angle_gamma 90.00
loop_
_space_group_symop_operation_xyz
'x,y,z'
'-x,-y,-z'
'-y+1/4,x+3/4,z+1/4'
'y+1/4,-x+3/4,-z+1/4'
'-x+1/2,-y,z+1/2'
'x+1/2,y,-z+1/2'
'y+1/4,-x+1/4,z+3/4'
'-y+1/4,x+1/4,-z+3/4'
'x,-y,-z'
'-x,y,z'
'-y+1/4,-x+1/4,-z+3/4'
'y+1/4,x+1/4,z+3/4'
'-x+1/2,y,-z+1/2'
'x+1/2,-y,z+1/2'
'y+1/4,x+3/4,-z+1/4'
'-y+1/4,-x+3/4,z+1/4'
'x+1/2,y+1/2,z+1/2'
'-x+1/2,-y+1/2,-z+1/2'
'-y+3/4,x+1/4,z+3/4'
'y+3/4,-x+1/4,-z+3/4'
'-x,-y+1/2,z'
'x,y+1/2,-z'
'y+3/4,-x+3/4,z+1/4'
'-y+3/4,x+3/4,-z+1/4'
'x+1/2,-y+1/2,-z+1/2'
'-x+1/2,y+1/2,z+1/2'
'-y+3/4,-x+3/4,-z+1/4'
'y+3/4,x+3/4,z+1/4'
'-x,y+1/2,-z'
'x,-y+1/2,z'
'y+3/4,x+1/4,-z+3/4'
'-y+3/4,-x+1/4,z+3/4'
loop_
_atom_site_label
_atom_site_type_symbol
_atom_site_fract_x
_atom_site_fract_y
_atom_site_fract_z
La1 La 0.000 0.000 0.000
La2 La 0.000 0.250 0.375
Bi1 Bi 0.000 0.250 0.177
```